Record 1
For La2InCuSe5, a DFT-relaxed cell (GGA-PBE, Alexandria) gives the calculated PXRD pattern in this record (Cu Kα).
Lines closer than 0.1° are merged.

Most intense lines, 5 to 70 degrees two-theta, in order of falling intensity:
two_theta  intensity  index
30.5  100  1 1 4
43.7  53  0 2 0
30.9  43  4 0 2
32.4  35  3 1 2
36.5  27  4 1 0
44.1  23  5 1 2
49.2  23  6 0 4
36.6  21  2 1 5
42.0  21  4 1 4
34.2  19  1 1 5

Cell and atoms:
```
data_La2InCuSe5
_chemical_formula_sum 'La8 In4 Cu4 Se20'
_symmetry_space_group_name_H-M 'P n m a'
_symmetry_Int_Tables_number 62
_symmetry_space_group_name_Hall '-P 2ac 2n'
_cell_length_a 12.269
_cell_length_b 4.140
_cell_length_c 17.600
_cell_angle_alpha 90.00
_cell_angle_beta 90.00
_cell_angle_gamma 90.00
loop_
_atom_site_label
_atom_site_fract_x
_atom_site_fract_y
_atom_site_fract_z
_atom_site_occupancy
La1 0.022 0.250 0.178 1
La2 0.137 0.750 0.594 1
In1 0.190 0.750 0.361 1
Cu1 0.075 0.750 0.998 1
Se1 0.016 0.250 0.695 1
Se2 0.101 0.250 0.923 1
Se3 0.107 0.250 0.463 1
Se4 0.182 0.750 0.113 1
Se5 0.241 0.750 0.771 1
```

Record 2
For Dy12Sn6C, a DFT-relaxed cell (GGA-PBE, Alexandria) gives the calculated PXRD pattern in this record (Cu Kα).
Lines closer than 0.1° are merged.

Most intense lines, 5 to 70 degrees two-theta, in order of falling intensity:
two_theta  intensity  index
36.1  100  4 -2 3
32.1  66  4 -3 1
27.4  50  1 0 4
30.1  28  2 2 0
34.9  20  2 1 4
34.1  17  4 -1 2
57.0  16  4 -3 7
39.3  14  0 0 6
26.4  13  1 2 2
15.5  13  0 1 2

Cell and atoms:
```
data_Dy12Sn6C
_chemical_formula_sum 'Dy36 Sn18 C3'
_symmetry_space_group_name_H-M 'R -3'
_symmetry_Int_Tables_number 148
_symmetry_space_group_name_Hall '-R 3'
_cell_length_a 11.8606
_cell_length_b 11.8606
_cell_length_c 13.7444
_cell_angle_alpha 90.00
_cell_angle_beta 90.00
_cell_angle_gamma 120.00
loop_
_atom_site_label
_atom_site_fract_x
_atom_site_fract_y
_atom_site_fract_z
_atom_site_occupancy
Dy1 0.0286 0.8411 0.3878 1
Dy2 0.0306 0.1814 0.8946 1
Sn1 0.0034 0.6189 0.2488 1
C1 0.0000 0.0000 0.0000 1
```

Record 3
For Na5In2Te6, a DFT-relaxed cell (GGA-PBE, Alexandria) gives the calculated PXRD pattern in this record (Cu Kα).
Lines closer than 0.1° are merged.

Most intense lines, 5 to 70 degrees two-theta, in order of falling intensity:
two_theta  intensity  index
25.3  100  2 2 3
43.1  81  2 4 8
39.4  69  4 0 0
41.8  60  2 6 3
23.8  58  2 2 2
13.7  54  0 2 2
22.4  51  0 0 6
31.2  49  2 4 2
19.4  47  2 0 0
22.9  46  2 2 1

Cell and atoms:
```
data_Na5In2Te6
_chemical_formula_sum 'Na40 In16 Te48'
_symmetry_space_group_name_H-M 'C m c 21'
_symmetry_Int_Tables_number 36
_symmetry_space_group_name_Hall 'C 2c -2'
_cell_length_a 9.140
_cell_length_b 15.456
_cell_length_c 23.844
_cell_angle_alpha 90.00
_cell_angle_beta 90.00
_cell_angle_gamma 90.00
loop_
_atom_site_label
_atom_site_fract_x
_atom_site_fract_y
_atom_site_fract_z
_atom_site_occupancy
Na1 0.192 0.125 0.088 1
Na2 0.237 0.425 0.176 1
Na3 0.240 0.176 0.500 1
Na4 0.246 0.242 0.835 1
Na5 0.250 0.008 0.341 1
In1 0.000 0.011 0.968 1
In2 0.000 0.237 0.209 1
In3 0.000 0.281 0.705 1
In4 0.000 0.468 0.469 1
Te1 0.000 0.048 0.581 1
Te2 0.000 0.126 0.763 1
Te3 0.000 0.133 0.398 1
Te4 0.000 0.280 0.584 1
Te5 0.000 0.297 0.097 1
Te6 0.000 0.375 0.912 1
Te7 0.000 0.382 0.279 1
Te8 0.000 0.470 0.590 1
Te9 0.238 0.129 0.947 1
Te10 0.241 0.121 0.229 1
```

Record 4
For CoNi8Ge6, a DFT-relaxed cell (GGA-PBE, Alexandria) gives the calculated PXRD pattern in this record (Cu Kα).
Lines closer than 0.1° are merged.

Most intense lines, 5 to 70 degrees two-theta, in order of falling intensity:
two_theta  intensity  index
45.4  100  1 1 6
42.1  97  3 -2 2
45.9  86  3 0 0
47.5  82  2 1 4
36.6  62  0 0 6
31.9  61  1 1 3
51.2  24  1 2 5
26.0  23  1 1 0
40.7  22  3 -1 1
57.4  18  3 1 2

Cell and atoms:
```
data_CoNi8Ge6
_chemical_formula_sum 'Co3 Ni24 Ge18'
_symmetry_space_group_name_H-M 'R -3'
_symmetry_Int_Tables_number 148
_symmetry_space_group_name_Hall '-R 3'
_cell_length_a 6.8473
_cell_length_b 6.8473
_cell_length_c 14.7420
_cell_angle_alpha 90.00
_cell_angle_beta 90.00
_cell_angle_gamma 120.00
loop_
_atom_site_label
_atom_site_fract_x
_atom_site_fract_y
_atom_site_fract_z
_atom_site_occupancy
Co1 0.0000 0.0000 0.0000 1
Ni1 0.0000 0.0000 0.3069 1
Ni2 0.0074 0.2608 0.4293 1
Ge1 0.0120 0.3993 0.5827 1
```

Record 5
For LiBH4, a DFT-relaxed cell (GGA-PBE, Alexandria) gives the calculated PXRD pattern in this record (Cu Kα).
Lines closer than 0.1° are merged.

Most intense lines, 5 to 70 degrees two-theta, in order of falling intensity:
two_theta  intensity  index
26.5  100  1 1 1
22.3  16  0 1 1
43.3  16  2 0 2
43.2  15  2 2 0
45.6  10  0 2 2
36.5  9  2 1 1
49.3  5  3 1 1
28.5  5  2 0 0
53.4  5  1 3 1
53.6  4  1 1 3

Cell and atoms:
```
data_LiBH4
_chemical_formula_sum 'Li4 B4 H16'
_symmetry_space_group_name_H-M 'A m a 2'
_symmetry_Int_Tables_number 40
_symmetry_space_group_name_Hall 'A 2 -2a'
_cell_length_a 6.259
_cell_length_b 5.641
_cell_length_c 5.615
_cell_angle_alpha 90.00
_cell_angle_beta 90.00
_cell_angle_gamma 90.00
loop_
_atom_site_label
_atom_site_fract_x
_atom_site_fract_y
_atom_site_fract_z
_atom_site_occupancy
Li1 0.000 0.000 0.000 1
B1 0.250 0.236 0.756 1
H1 0.091 0.319 0.852 1
H2 0.250 0.019 0.762 1
H3 0.250 0.280 0.543 1
```

Record 6
For HoTmInAu, a DFT-relaxed cell (GGA-PBE, Alexandria) gives the calculated PXRD pattern in this record (Cu Kα).
Lines closer than 0.1° are merged.

Most intense lines, 5 to 70 degrees two-theta, in order of falling intensity:
two_theta  intensity  index
34.4  100  1 0 2
35.5  48  1 1 0
63.0  35  2 1 2
60.9  18  1 1 4
51.0  17  2 0 0
11.6  11  0 0 1
47.7  9  0 0 4
43.7  5  1 0 3
37.4  3  1 1 1
69.4  3  2 1 3

Cell and atoms:
```
data_HoTmInAu
_chemical_formula_sum 'Ho1 Tm1 In1 Au1'
_symmetry_space_group_name_H-M 'P 4 m m'
_symmetry_Int_Tables_number 99
_symmetry_space_group_name_Hall 'P 4 -2'
_cell_length_a 3.579
_cell_length_b 3.579
_cell_length_c 7.619
_cell_angle_alpha 90.00
_cell_angle_beta 90.00
_cell_angle_gamma 90.00
loop_
_atom_site_label
_atom_site_fract_x
_atom_site_fract_y
_atom_site_fract_z
_atom_site_occupancy
Ho1 0.000 0.000 0.000 1
Tm1 0.000 0.000 0.538 1
In1 0.500 0.500 0.270 1
Au1 0.500 0.500 0.760 1
```

Record 7
For Li3CuRh2, a DFT-relaxed cell (GGA-PBE, Alexandria) gives the calculated PXRD pattern in this record (Cu Kα).
Lines closer than 0.1° are merged.

Most intense lines, 5 to 70 degrees two-theta, in order of falling intensity:
two_theta  intensity  index
21.4  100  0 0 2
44.9  96  1 1 2
39.0  71  1 1 0
59.9  31  1 1 4
43.6  16  0 0 4
39.6  10  1 0 3
60.3  6  1 0 5
22.2  5  1 0 0
31.0  4  1 0 2
67.6  2  0 0 6

Cell and atoms:
```
data_Li3CuRh2
_chemical_formula_sum 'Li6 Cu2 Rh4'
_symmetry_space_group_name_H-M 'P 63/m m c'
_symmetry_Int_Tables_number 194
_symmetry_space_group_name_Hall '-P 6c 2c'
_cell_length_a 4.6219
_cell_length_b 4.6219
_cell_length_c 8.3101
_cell_angle_alpha 90.00
_cell_angle_beta 90.00
_cell_angle_gamma 120.00
loop_
_atom_site_label
_atom_site_fract_x
_atom_site_fract_y
_atom_site_fract_z
_atom_site_occupancy
Li1 0.1720 0.3440 0.2500 1
Cu1 0.0000 0.0000 0.0000 1
Rh1 0.3333 0.6667 0.5205 1
```

Record 8
For Na2TmHf2Se6, a DFT-relaxed cell (GGA-PBE, Alexandria) gives the calculated PXRD pattern in this record (Cu Kα).
Lines closer than 0.1° are merged.

Most intense lines, 5 to 70 degrees two-theta, in order of falling intensity:
two_theta  intensity  index
12.3  100  0 0 1
31.3  77  1 3 1
43.0  44  1 3 -3
31.5  38  2 0 -2
46.9  25  3 3 -1
26.8  20  1 3 0
39.6  17  1 3 2
57.4  13  2 6 -2
46.7  13  0 6 0
26.9  11  2 0 -1

Cell and atoms:
```
data_Na2TmHf2Se6
_chemical_formula_sum 'Na4 Tm2 Hf4 Se12'
_symmetry_space_group_name_H-M 'C 1 2/m 1'
_symmetry_Int_Tables_number 12
_symmetry_space_group_name_Hall '-C 2y'
_cell_length_a 6.701
_cell_length_b 11.677
_cell_length_c 7.523
_cell_angle_alpha 90.00
_cell_angle_beta 107.01
_cell_angle_gamma 90.00
loop_
_atom_site_label
_atom_site_fract_x
_atom_site_fract_y
_atom_site_fract_z
_atom_site_occupancy
Na1 0.000 0.163 0.000 1
Tm1 0.000 0.000 0.500 1
Hf1 0.000 0.333 0.500 1
Se1 0.224 0.500 0.721 1
Se2 0.245 0.173 0.721 1
```